Structure and theoretical PXRD pattern of Si2Ag6O7 (DFT lattice parameters and positions (PBE); Cu Kα, 1.54184 Å).
No peak broadening, texture or thermal motion is included.

Crystal structure
abc: 5.3170 9.7835 15.9196
angles: 90.00 91.18 90.00
Atoms (fractional coordinates):
1 Si 0.2228 0.0000 0.3051
2 Si 0.2506 0.7846 0.4402
3 Si 0.2587 0.9945 0.8075
4 Si 0.2607 0.8008 0.9606
5 Si 0.7393 0.3008 0.0394
6 Si 0.7413 0.4945 0.1925
7 Si 0.7494 0.2846 0.5598
8 Si 0.7772 0.5000 0.6949
9 Ag 0.1809 0.7528 0.6764
10 Ag 0.1992 0.0685 0.0721
11 Ag 0.2014 0.0512 0.5731
12 Ag 0.2161 0.5204 0.0476
13 Ag 0.2181 0.5265 0.3170
14 Ag 0.2195 0.2599 0.9296
15 Ag 0.2252 0.7337 0.1768
16 Ag 0.2319 0.2740 0.2073
17 Ag 0.2322 0.5366 0.8335
18 Ag 0.2342 0.4860 0.5289
19 Ag 0.2425 0.2548 0.6979
20 Ag 0.3170 0.2524 0.4163
21 Ag 0.6830 0.7524 0.5837
22 Ag 0.7575 0.7548 0.3021
23 Ag 0.7658 0.9860 0.4711
24 Ag 0.7678 0.0366 0.1665
25 Ag 0.7681 0.7740 0.7927
26 Ag 0.7748 0.2337 0.8232
27 Ag 0.7805 0.7599 0.0704
28 Ag 0.7819 0.0265 0.6830
29 Ag 0.7839 0.0204 0.9524
30 Ag 0.7986 0.5512 0.4269
31 Ag 0.8008 0.5685 0.9279
32 Ag 0.8191 0.2528 0.3236
33 O 0.0364 0.9169 0.2395
34 O 0.0489 0.2948 0.0530
35 O 0.0524 0.4873 0.1888
36 O 0.0548 0.0908 0.3720
37 O 0.0581 0.2812 0.5680
38 O 0.3443 0.8477 0.5308
39 O 0.3484 0.8583 0.0530
40 O 0.3588 0.1531 0.8195
41 O 0.3692 0.6306 0.4291
42 O 0.3703 0.9326 0.7208
43 O 0.3717 0.8818 0.3641
44 O 0.3756 0.9054 0.8882
45 O 0.3814 0.6485 0.9446
46 O 0.4322 0.0935 0.2585
47 O 0.5678 0.5935 0.7415
48 O 0.6186 0.1485 0.0554
49 O 0.6244 0.4054 0.1118
50 O 0.6283 0.3818 0.6359
51 O 0.6297 0.4326 0.2792
52 O 0.6308 0.1306 0.5709
53 O 0.6412 0.6531 0.1805
54 O 0.6516 0.3583 0.9470
55 O 0.6557 0.3477 0.4692
56 O 0.9419 0.7812 0.4320
57 O 0.9452 0.5908 0.6280
58 O 0.9476 0.9873 0.8112
59 O 0.9511 0.7948 0.9470
60 O 0.9636 0.4169 0.7605

Largest 10 diffraction maxima, by angle, 2θ = 10–90°:
2θ = 14.35°, d = 6.174 Å, intensity 9
2θ = 19.00°, d = 4.671 Å, intensity 9
2θ = 29.60°, d = 3.018 Å, intensity 14
2θ = 33.33°, d = 2.688 Å, intensity 63
2θ = 33.78°, d = 2.653 Å, intensity 100
2θ = 36.74°, d = 2.446 Å, intensity 21
2θ = 38.73°, d = 2.325 Å, intensity 10
2θ = 39.36°, d = 2.289 Å, intensity 9
2θ = 45.61°, d = 1.989 Å, intensity 12
2θ = 50.73°, d = 1.800 Å, intensity 16


Structure and theoretical PXRD pattern of Sm2AgO4 (DFT lattice parameters and positions (PBE); Cu Kα, 1.54184 Å).
No peak broadening, texture or thermal motion is included.

Crystal structure
abc: 6.9480 6.9480 6.9480
angles: 60.00 60.00 60.00
Atoms (fractional coordinates):
1 Sm 0.0000 0.0000 0.0000
2 Sm 0.0000 0.0000 0.5000
3 Sm 0.0000 0.5000 0.0000
4 Sm 0.5000 0.0000 0.0000
5 Ag 0.3750 0.3750 0.3750
6 Ag 0.6250 0.6250 0.6250
7 O 0.2110 0.7630 0.7630
8 O 0.2370 0.2370 0.2370
9 O 0.2370 0.2370 0.7890
10 O 0.2370 0.7890 0.2370
11 O 0.7630 0.2110 0.7630
12 O 0.7630 0.7630 0.2110
13 O 0.7630 0.7630 0.7630
14 O 0.7890 0.2370 0.2370

Largest 10 diffraction maxima, by angle, 2θ = 10–90°:
2θ = 15.62°, d = 5.673 Å, intensity 19
2θ = 25.64°, d = 3.474 Å, intensity 20
2θ = 30.17°, d = 2.963 Å, intensity 100
2θ = 31.54°, d = 2.837 Å, intensity 31
2θ = 36.58°, d = 2.456 Å, intensity 18
2θ = 48.12°, d = 1.891 Å, intensity 39
2θ = 52.70°, d = 1.737 Å, intensity 43
2θ = 61.93°, d = 1.498 Å, intensity 13
2θ = 62.72°, d = 1.481 Å, intensity 16
2θ = 74.12°, d = 1.279 Å, intensity 21


Structure and theoretical PXRD pattern of Ag5Sn2O6 (DFT lattice parameters and positions (PBE); Cu Kα, 1.54184 Å).
No peak broadening, texture or thermal motion is included.

Crystal structure
abc: 5.7078 5.7078 6.5928
angles: 90.00 90.00 120.00
Atoms (fractional coordinates):
1 Ag 0.0000 0.0000 0.2098
2 Ag 0.0000 0.0000 0.7902
3 Ag 0.0000 0.5000 0.0000
4 Ag 0.5000 0.0000 0.0000
5 Ag 0.5000 0.5000 0.0000
6 Sn 0.3333 0.6667 0.5000
7 Sn 0.6667 0.3333 0.5000
8 O 0.0000 0.3907 0.3228
9 O 0.0000 0.6093 0.6772
10 O 0.3907 0.0000 0.3228
11 O 0.3907 0.3907 0.6772
12 O 0.6093 0.0000 0.6772
13 O 0.6093 0.6093 0.3228

Largest 10 diffraction maxima, by angle, 2θ = 10–90°:
2θ = 31.34°, d = 2.854 Å, intensity 30
2θ = 32.65°, d = 2.743 Å, intensity 100
2θ = 34.24°, d = 2.619 Å, intensity 41
2θ = 36.35°, d = 2.472 Å, intensity 50
2θ = 38.92°, d = 2.314 Å, intensity 86
2θ = 52.56°, d = 1.741 Å, intensity 44
2θ = 55.78°, d = 1.648 Å, intensity 20
2θ = 56.63°, d = 1.625 Å, intensity 42
2θ = 65.40°, d = 1.427 Å, intensity 29
2θ = 83.01°, d = 1.163 Å, intensity 18


Structure and theoretical PXRD pattern of Ag3Sn5O12 (DFT lattice parameters and positions (PBE); Cu Kα, 1.54184 Å).
No peak broadening, texture or thermal motion is included.

Crystal structure
abc: 6.8563 6.8563 6.8563
angles: 109.47 109.47 109.47
Atoms (fractional coordinates):
1 Ag 0.0000 0.5000 0.5000
2 Ag 0.5000 0.0000 0.5000
3 Ag 0.5000 0.5000 0.0000
4 Sn 0.0000 0.0000 0.0000
5 Sn 0.0000 0.0000 0.5000
6 Sn 0.0000 0.5000 0.0000
7 Sn 0.5000 0.0000 0.0000
8 Sn 0.5000 0.5000 0.5000
9 O 0.1123 0.2970 0.8153
10 O 0.1847 0.4818 0.2970
11 O 0.1847 0.8877 0.7030
12 O 0.2970 0.1847 0.4818
13 O 0.2970 0.8153 0.1123
14 O 0.4818 0.2970 0.1847
15 O 0.5182 0.7030 0.8153
16 O 0.7030 0.1847 0.8877
17 O 0.7030 0.8153 0.5182
18 O 0.8153 0.1123 0.2970
19 O 0.8153 0.5182 0.7030
20 O 0.8877 0.7030 0.1847

Largest 9 diffraction maxima, by angle, 2θ = 10–90°:
2θ = 22.46°, d = 3.958 Å, intensity 1
2θ = 31.97°, d = 2.799 Å, intensity 100
2θ = 35.87°, d = 2.504 Å, intensity 1
2θ = 42.73°, d = 2.116 Å, intensity 1
2θ = 45.85°, d = 1.979 Å, intensity 25
2θ = 56.98°, d = 1.616 Å, intensity 46
2θ = 66.85°, d = 1.400 Å, intensity 14
2θ = 76.03°, d = 1.252 Å, intensity 18
2θ = 84.85°, d = 1.143 Å, intensity 5


Structure and theoretical PXRD pattern of SrAg2O4 (DFT lattice parameters and positions (PBE); Cu Kα, 1.54184 Å).
No peak broadening, texture or thermal motion is included.

Crystal structure
abc: 6.7401 6.7401 6.7401
angles: 125.60 125.60 80.55
Atoms (fractional coordinates):
1 Sr 0.3750 0.1250 0.2500
2 Sr 0.6250 0.8750 0.7500
3 Ag 0.0000 0.0000 0.5000
4 Ag 0.0000 0.5000 0.0000
5 Ag 0.0000 0.5000 0.5000
6 Ag 0.5000 0.5000 0.0000
7 O 0.0320 0.7119 0.8915
8 O 0.2119 0.8204 0.6799
9 O 0.3204 0.1405 0.6085
10 O 0.3595 0.4680 0.1799
11 O 0.6405 0.5320 0.8201
12 O 0.6796 0.8595 0.3915
13 O 0.7881 0.1796 0.3201
14 O 0.9680 0.2881 0.1085

Largest 10 diffraction maxima, by angle, 2θ = 10–90°:
2θ = 16.77°, d = 5.286 Å, intensity 23
2θ = 26.82°, d = 3.324 Å, intensity 17
2θ = 29.82°, d = 2.996 Å, intensity 47
2θ = 33.67°, d = 2.662 Å, intensity 100
2θ = 33.92°, d = 2.643 Å, intensity 64
2θ = 46.55°, d = 1.951 Å, intensity 21
2θ = 51.89°, d = 1.762 Å, intensity 17
2θ = 54.42°, d = 1.686 Å, intensity 20
2θ = 55.27°, d = 1.662 Å, intensity 34
2θ = 70.80°, d = 1.331 Å, intensity 18


Structure and theoretical PXRD pattern of TaAgO3 (DFT lattice parameters and positions (PBE); Cu Kα, 1.54184 Å).
No peak broadening, texture or thermal motion is included.

Crystal structure
abc: 6.1332 6.1332 6.1332
angles: 52.17 52.17 52.17
Atoms (fractional coordinates):
1 Ta 0.1544 0.1544 0.1544
2 Ta 0.8456 0.8456 0.8456
3 Ag 0.3654 0.3654 0.3654
4 Ag 0.6346 0.6346 0.6346
5 O 0.0295 0.8192 0.4398
6 O 0.1808 0.5602 0.9705
7 O 0.4398 0.0295 0.8192
8 O 0.5602 0.9705 0.1808
9 O 0.8192 0.4398 0.0295
10 O 0.9705 0.1808 0.5602

Largest 10 diffraction maxima, by angle, 2θ = 10–90°:
2θ = 16.78°, d = 5.284 Å, intensity 20
2θ = 22.09°, d = 4.024 Å, intensity 27
2θ = 29.56°, d = 3.022 Å, intensity 100
2θ = 33.22°, d = 2.697 Å, intensity 94
2θ = 37.44°, d = 2.402 Å, intensity 13
2θ = 45.06°, d = 2.012 Å, intensity 34
2θ = 48.22°, d = 1.887 Å, intensity 43
2θ = 57.11°, d = 1.613 Å, intensity 32
2θ = 59.36°, d = 1.557 Å, intensity 24
2θ = 81.62°, d = 1.180 Å, intensity 14


Structure and theoretical PXRD pattern of TaTlAgO3 (DFT lattice parameters and positions (PBE); Cu Kα, 1.54184 Å).
No peak broadening, texture or thermal motion is included.

Crystal structure
abc: 12.2242 3.0815 11.0740
angles: 90.00 90.00 90.00
Atoms (fractional coordinates):
1 Ta 0.0053 0.2500 0.1354
2 Ta 0.4947 0.7500 0.6354
3 Ta 0.5053 0.2500 0.3646
4 Ta 0.9947 0.7500 0.8646
5 Tl 0.2173 0.2500 0.3862
6 Tl 0.2827 0.7500 0.8862
7 Tl 0.7173 0.2500 0.1138
8 Tl 0.7827 0.7500 0.6138
9 Ag 0.0513 0.2500 0.5843
10 Ag 0.4487 0.7500 0.0843
11 Ag 0.5513 0.2500 0.9157
12 Ag 0.9487 0.7500 0.4157
13 O 0.0760 0.2500 0.9570
14 O 0.0961 0.7500 0.1859
15 O 0.1003 0.7500 0.7466
16 O 0.3997 0.2500 0.2466
17 O 0.4039 0.2500 0.6859
18 O 0.4240 0.7500 0.4570
19 O 0.5760 0.2500 0.5430
20 O 0.5961 0.7500 0.3141
21 O 0.6003 0.7500 0.7534
22 O 0.8997 0.2500 0.2534
23 O 0.9039 0.2500 0.8141
24 O 0.9240 0.7500 0.0430

Largest 10 diffraction maxima, by angle, 2θ = 10–90°:
2θ = 17.58°, d = 5.044 Å, intensity 75
2θ = 23.26°, d = 3.824 Å, intensity 38
2θ = 27.17°, d = 3.282 Å, intensity 81
2θ = 29.22°, d = 3.056 Å, intensity 46
2θ = 30.10°, d = 2.969 Å, intensity 37
2θ = 31.00°, d = 2.885 Å, intensity 48
2θ = 32.34°, d = 2.768 Å, intensity 59
2θ = 34.10°, d = 2.630 Å, intensity 58
2θ = 40.14°, d = 2.246 Å, intensity 100
2θ = 44.14°, d = 2.052 Å, intensity 35


Structure and theoretical PXRD pattern of Tb2Ag2O5 (DFT lattice parameters and positions (PBE); Cu Kα, 1.54184 Å).
No peak broadening, texture or thermal motion is included.

Crystal structure
abc: 4.0457 4.0457 8.6924
angles: 90.00 90.00 90.00
Atoms (fractional coordinates):
1 Tb 0.0000 0.0000 0.2477
2 Tb 0.0000 0.0000 0.7523
3 Ag 0.5000 0.5000 0.0000
4 Ag 0.5000 0.5000 0.5000
5 O 0.0000 0.0000 0.5000
6 O 0.0000 0.5000 0.1549
7 O 0.0000 0.5000 0.8451
8 O 0.5000 0.0000 0.1549
9 O 0.5000 0.0000 0.8451

Largest 10 diffraction maxima, by angle, 2θ = 10–90°:
2θ = 30.18°, d = 2.961 Å, intensity 100
2θ = 31.27°, d = 2.861 Å, intensity 40
2θ = 41.56°, d = 2.173 Å, intensity 10
2θ = 44.80°, d = 2.023 Å, intensity 23
2θ = 52.91°, d = 1.730 Å, intensity 26
2θ = 54.97°, d = 1.670 Å, intensity 37
2θ = 62.75°, d = 1.481 Å, intensity 12
2θ = 68.84°, d = 1.364 Å, intensity 9
2θ = 85.95°, d = 1.131 Å, intensity 10
2θ = 88.73°, d = 1.102 Å, intensity 12


Structure and theoretical PXRD pattern of AgTeO3 (DFT lattice parameters and positions (PBE); Cu Kα, 1.54184 Å).
No peak broadening, texture or thermal motion is included.

Crystal structure
abc: 6.4512 6.9407 13.2079
angles: 90.00 90.38 90.00
Atoms (fractional coordinates):
1 Ag 0.0010 0.1944 0.0561
2 Ag 0.0010 0.3056 0.5561
3 Ag 0.0212 0.0649 0.2951
4 Ag 0.0212 0.4351 0.7951
5 Ag 0.9788 0.5649 0.2049
6 Ag 0.9788 0.9351 0.7049
7 Ag 0.9990 0.6944 0.4439
8 Ag 0.9990 0.8056 0.9439
9 Te 0.3700 0.6457 0.6424
10 Te 0.3700 0.8543 0.1424
11 Te 0.4990 0.1317 0.5929
12 Te 0.4990 0.3683 0.0929
13 Te 0.5010 0.6317 0.9071
14 Te 0.5010 0.8683 0.4071
15 Te 0.6300 0.1457 0.8576
16 Te 0.6300 0.3543 0.3576
17 O 0.0770 0.6411 0.6351
18 O 0.0770 0.8589 0.1351
19 O 0.2969 0.6462 0.8005
20 O 0.2969 0.8538 0.3005
21 O 0.3080 0.1776 0.1406
22 O 0.3080 0.3224 0.6406
23 O 0.3317 0.0837 0.4679
24 O 0.3317 0.4163 0.9679
25 O 0.3406 0.5609 0.1670
26 O 0.3407 0.6773 0.4815
27 O 0.3407 0.8227 0.9815
28 O 0.3406 0.9391 0.6670
29 O 0.6594 0.0609 0.3330
30 O 0.6593 0.1773 0.0185
31 O 0.6593 0.3227 0.5185
32 O 0.6594 0.4391 0.8330
33 O 0.6683 0.5837 0.0321
34 O 0.6683 0.9163 0.5321
35 O 0.6920 0.6776 0.3594
36 O 0.6920 0.8224 0.8594
37 O 0.7031 0.1462 0.6995
38 O 0.7031 0.3538 0.1995
39 O 0.9230 0.1411 0.8649
40 O 0.9230 0.3589 0.3649

Largest 10 diffraction maxima, by angle, 2θ = 10–90°:
2θ = 19.30°, d = 4.599 Å, intensity 20
2θ = 19.93°, d = 4.456 Å, intensity 26
2θ = 27.65°, d = 3.227 Å, intensity 47
2θ = 29.99°, d = 2.980 Å, intensity 100
2θ = 30.51°, d = 2.930 Å, intensity 26
2θ = 32.26°, d = 2.775 Å, intensity 17
2θ = 38.98°, d = 2.311 Å, intensity 15
2θ = 41.10°, d = 2.196 Å, intensity 20
2θ = 42.03°, d = 2.150 Å, intensity 21
2θ = 59.01°, d = 1.565 Å, intensity 15


Structure and theoretical PXRD pattern of TlAgO3 (DFT lattice parameters and positions (PBE); Cu Kα, 1.54184 Å).
No peak broadening, texture or thermal motion is included.

Crystal structure
abc: 5.5782 5.5782 5.5782
angles: 61.85 61.85 61.85
Atoms (fractional coordinates):
1 Tl 0.2500 0.2500 0.2500
2 Tl 0.7500 0.7500 0.7500
3 Ag 0.0000 0.0000 0.0000
4 Ag 0.5000 0.5000 0.5000
5 O 0.1297 0.7500 0.3703
6 O 0.2500 0.6297 0.8703
7 O 0.3703 0.1297 0.7500
8 O 0.6297 0.8703 0.2500
9 O 0.7500 0.3703 0.1297
10 O 0.8703 0.2500 0.6297

Largest 10 diffraction maxima, by angle, 2θ = 10–90°:
2θ = 22.24°, d = 3.997 Å, intensity 16
2θ = 31.20°, d = 2.867 Å, intensity 97
2θ = 32.12°, d = 2.787 Å, intensity 100
2θ = 45.38°, d = 1.998 Å, intensity 45
2θ = 55.52°, d = 1.655 Å, intensity 27
2θ = 56.10°, d = 1.639 Å, intensity 43
2θ = 57.83°, d = 1.594 Å, intensity 19
2θ = 67.18°, d = 1.393 Å, intensity 14
2θ = 74.43°, d = 1.275 Å, intensity 17
2θ = 75.92°, d = 1.253 Å, intensity 17